[1]
Structure and computed powder XRD pattern of RbGaAs (a crystal structure in Alexandria, relaxed with GGA-PBE; CuKα).
No peak broadening, texture or thermal motion is included.

Cell and atoms:
Lattice parameters (Å, degrees): 7.0597 7.0597 8.2582 120.82 120.82 33.81
Fractional coordinates of all 6 atoms:
Rb  0.0000  0.0000  0.0000
Rb  0.1093  0.1093  0.6273
Ga  0.3375  0.3375  0.2584
Ga  0.7234  0.7234  0.3987
As  0.3723  0.3723  0.5765
As  0.7590  0.7590  0.0645

Main lines, most intense first (2θ = 10–90°):
32.1 deg, rel. 100.0; 28.4 deg, rel. 73.9; 31.3 deg, rel. 59.6; 26.7 deg, rel. 49.7; 49.3 deg, rel. 48.7; 44.1 deg, rel. 45.9; 27.9 deg, rel. 41.6; 32.3 deg, rel. 38.5



[2]
Structure and computed powder XRD pattern of Tb9Dy2Y3 (a crystal structure in Alexandria, relaxed with GGA-PBE; CuKα).
No peak broadening, texture or thermal motion is included.

Cell and atoms:
Lattice parameters (Å, degrees): 6.2479 8.7037 8.7775 80.02 77.28 87.98
Fractional coordinates of all 14 atoms:
Tb  0.0000  0.0000  0.0000
Tb  0.0905  0.3114  0.1969
Tb  0.1968  0.6131  0.3993
Tb  0.3459  0.6671  0.9956
Tb  0.4947  0.2422  0.4166
Tb  0.5053  0.7578  0.5834
Tb  0.6541  0.3329  0.0044
Tb  0.8032  0.3869  0.6007
Tb  0.9095  0.6886  0.8031
Dy  0.4487  0.9670  0.1993
Dy  0.5513  0.0330  0.8007
Y  0.0000  0.0000  0.5000
Y  0.2458  0.3762  0.7748
Y  0.7542  0.6238  0.2252

Main lines, most intense first (2θ = 10–90°):
31.4 deg, rel. 100.0; 32.0 deg, rel. 36.7; 34.8 deg, rel. 27.3; 33.0 deg, rel. 23.5; 31.1 deg, rel. 20.3; 33.4 deg, rel. 19.8; 52.1 deg, rel. 10.4; 58.6 deg, rel. 7.8



[3]
Structure and computed powder XRD pattern of KBaAu10 (a crystal structure in Alexandria, relaxed with GGA-PBE; CuKα).
No peak broadening, texture or thermal motion is included.

Cell and atoms:
Lattice parameters (Å, degrees): 4.5844 5.7944 10.1713 90.00 90.00 90.00
Fractional coordinates of all 12 atoms:
K  0.0000  0.0000  0.0000
Ba  0.0000  0.5000  0.5000
Au  0.0000  0.0000  0.3288
Au  0.0000  0.0000  0.6712
Au  0.0000  0.5000  0.1624
Au  0.0000  0.5000  0.8376
Au  0.5000  0.0000  0.5000
Au  0.5000  0.2529  0.2517
Au  0.5000  0.2529  0.7483
Au  0.5000  0.5000  0.0000
Au  0.5000  0.7471  0.2517
Au  0.5000  0.7471  0.7483

Main lines, most intense first (2θ = 10–90°):
36.4 deg, rel. 100.0; 40.9 deg, rel. 79.6; 17.6 deg, rel. 59.3; 39.3 deg, rel. 51.1; 36.7 deg, rel. 49.1; 40.6 deg, rel. 40.2; 17.4 deg, rel. 30.4; 63.6 deg, rel. 29.6



[4]
Structure and computed powder XRD pattern of U2Co4NiGe3 (a crystal structure in Alexandria, relaxed with GGA-PBE; CuKα).
No peak broadening, texture or thermal motion is included.

Cell and atoms:
Lattice parameters (Å, degrees): 3.7274 3.7274 10.7294 90.00 90.00 90.00
Fractional coordinates of all 10 atoms:
U  0.0000  0.5000  0.2360
U  0.5000  0.0000  0.7640
Co  0.0000  0.0000  0.5000
Co  0.0000  0.5000  0.8426
Co  0.5000  0.0000  0.1574
Co  0.5000  0.5000  0.5000
Ni  0.5000  0.5000  0.0000
Ge  0.0000  0.0000  0.0000
Ge  0.0000  0.5000  0.6256
Ge  0.5000  0.0000  0.3744

Main lines, most intense first (2θ = 10–90°):
38.0 deg, rel. 100.0; 34.8 deg, rel. 70.2; 48.9 deg, rel. 41.1; 71.7 deg, rel. 35.3; 49.0 deg, rel. 34.3; 61.4 deg, rel. 27.9; 25.3 deg, rel. 27.3; 34.0 deg, rel. 25.0



[5]
Structure and computed powder XRD pattern of NaTbBi (a crystal structure in Alexandria, relaxed with GGA-PBE; CuKα).
No peak broadening, texture or thermal motion is included.

Cell and atoms:
Lattice parameters (Å, degrees): 8.7426 8.7426 10.4448 94.34 94.34 35.52
Fractional coordinates of all 12 atoms:
Na  0.0350  0.0350  0.3418
Na  0.4150  0.4150  0.1269
Na  0.5850  0.5850  0.8731
Na  0.9650  0.9650  0.6582
Tb  0.2520  0.2520  0.8763
Tb  0.2553  0.2553  0.3704
Tb  0.7447  0.7447  0.6296
Tb  0.7480  0.7480  0.1237
Bi  0.1419  0.1419  0.1089
Bi  0.1471  0.1471  0.6081
Bi  0.8529  0.8529  0.3919
Bi  0.8581  0.8581  0.8911

Main lines, most intense first (2θ = 10–90°):
10.7 deg, rel. 100.0; 35.2 deg, rel. 46.1; 29.7 deg, rel. 43.9; 37.3 deg, rel. 35.6; 33.6 deg, rel. 29.0; 17.5 deg, rel. 28.9; 23.2 deg, rel. 27.0; 35.3 deg, rel. 24.7



[6]
Structure and computed powder XRD pattern of LaErGa (a crystal structure in Alexandria, relaxed with GGA-PBE; CuKα).
No peak broadening, texture or thermal motion is included.

Cell and atoms:
Lattice parameters (Å, degrees): 4.6969 4.6969 7.8497 90.00 90.00 90.00
Fractional coordinates of all 6 atoms:
La  0.2500  0.2500  0.1415
La  0.7500  0.7500  0.8585
Er  0.2500  0.7500  0.5000
Er  0.7500  0.2500  0.5000
Ga  0.2500  0.2500  0.7439
Ga  0.7500  0.7500  0.2561

Main lines, most intense first (2θ = 10–90°):
29.2 deg, rel. 100.0; 35.4 deg, rel. 69.2; 38.3 deg, rel. 55.2; 29.7 deg, rel. 30.3; 52.3 deg, rel. 24.8; 11.3 deg, rel. 23.9; 63.8 deg, rel. 21.8; 67.4 deg, rel. 21.0